No. 1
# CoCu2Os
Simulated powder X-ray diffraction pattern, a wavelength of 1.5418 Å. Input: a DFT-relaxed cell (PBE, Alexandria).

a = 2.5597 Å, b = 3.9011 Å, c = 5.1150 Å
α = 90.00°, β = 104.43°, γ = 90.00°
Space group Pm (No. 6)
One atom of each set of equivalent atoms:
Co 0.0000 0.0000 0.0000 [1 per cell]
Cu 0.1527 0.5000 0.3012 [1 per cell]
Cu 0.7520 0.0000 0.5009 [1 per cell]
Os 0.4108 0.5000 0.8203 [1 per cell]

Peak list (6 most intense, 10° ≤ 2θ ≤ 90°, low angle first)
Position (°2θ), I/Imax, index
17.91, 21, 0 0 1
29.14, 14, 0 1 1
36.26, 16, 0 0 2
43.26, 100, 0 1 2
44.80, 23, 1 0 -2
46.56, 20, 0 2 0

***

No. 2
# La6Ga3Pd
Simulated powder X-ray diffraction pattern, a wavelength of 1.5418 Å. Input: a DFT-relaxed cell (PBE, Alexandria).

a = 9.4577 Å, b = 11.4941 Å, c = 5.3722 Å
α = 90.00°, β = 90.00°, γ = 90.00°
Space group Pnnm (No. 58)
One atom of each set of equivalent atoms:
La 0.0026 0.2438 0.0000 [4 per cell]
La 0.1653 0.5522 0.5000 [4 per cell]
La 0.1675 0.9396 0.5000 [4 per cell]
Ga 0.0000 0.5000 0.0000 [2 per cell]
Ga 0.1714 0.2503 0.5000 [4 per cell]
Pd 0.0000 0.0000 0.0000 [2 per cell]

Peak list (6 most intense, 10° ≤ 2θ ≤ 90°, low angle first)
Position (°2θ), I/Imax, index
30.02, 29, 2 3 0
30.17, 55, 1 3 1
31.12, 21, 0 4 0
32.94, 100, 3 0 1
33.36, 48, 0 0 2
45.95, 28, 3 4 1

***

No. 3
# Mg2NiTePt
Simulated powder X-ray diffraction pattern, a wavelength of 1.5418 Å. Input: a DFT-relaxed cell (PBE, Alexandria).

a = 5.2686 Å, b = 5.2686 Å, c = 4.5070 Å
α = 90.00°, β = 90.00°, γ = 90.00°
Space group P4/mmm (No. 123)
One atom of each set of equivalent atoms:
Mg 0.0000 0.5000 0.0000 [2 per cell]
Ni 0.0000 0.0000 0.5000 [1 per cell]
Te 0.0000 0.0000 0.0000 [1 per cell]
Pt 0.5000 0.5000 0.5000 [1 per cell]

Peak list (6 most intense, 10° ≤ 2θ ≤ 90°, low angle first)
Position (°2θ), I/Imax, index
23.89, 100, 1 1 0
26.02, 93, 1 0 1
34.03, 70, 2 0 0
43.33, 48, 2 1 1
47.13, 33, 1 1 2
53.51, 38, 2 0 2

***

No. 4
# AcErO3
Simulated powder X-ray diffraction pattern, a wavelength of 1.5418 Å. Input: a DFT-relaxed cell (PBE, Alexandria).

a = 3.5698 Å, b = 5.7373 Å, c = 7.3962 Å
α = 90.00°, β = 90.00°, γ = 90.00°
Space group Pmmn (No. 59, origin choice 2)
One atom of each set of equivalent atoms:
Ac 0.2500 0.2500 0.1439 [2 per cell]
Er 0.2500 0.7500 0.4018 [2 per cell]
O 0.2500 0.5087 0.6512 [4 per cell]
O 0.2500 0.7500 0.0778 [2 per cell]

Peak list (6 most intense, 10° ≤ 2θ ≤ 90°, low angle first)
Position (°2θ), I/Imax, index
27.75, 54, 1 0 1
28.72, 100, 0 1 2
31.18, 44, 0 2 0
31.91, 81, 1 1 1
42.22, 52, 1 2 1
59.74, 27, 2 1 2

***

No. 5
# Cs5RbAu4
Simulated powder X-ray diffraction pattern, a wavelength of 1.5418 Å. Input: a DFT-relaxed cell (PBE, Alexandria).

a = 5.3887 Å, b = 12.3582 Å, c = 15.1607 Å
α = 90.00°, β = 90.00°, γ = 90.00°
Space group Immm (No. 71)
One atom of each set of equivalent atoms:
Cs 0.0000 0.0000 0.0000 [2 per cell]
Cs 0.0000 0.3074 0.1599 [8 per cell]
Rb 0.0000 0.0000 0.5000 [2 per cell]
Au 0.0000 0.0000 0.2628 [4 per cell]
Au 0.0000 0.2796 0.5000 [4 per cell]

Peak list (6 most intense, 10° ≤ 2θ ≤ 90°, low angle first)
Position (°2θ), I/Imax, index
24.14, 49, 1 0 3
27.25, 100, 1 3 0
28.19, 89, 1 2 3
29.71, 42, 1 1 4
33.25, 42, 2 0 0
54.69, 31, 1 7 0

***

No. 6
# MgCu3As
Simulated powder X-ray diffraction pattern, a wavelength of 1.5418 Å. Input: a DFT-relaxed cell (PBE, Alexandria).

a = 4.5434 Å, b = 4.5434 Å, c = 4.5434 Å
α = 90.00°, β = 90.00°, γ = 90.00°
Space group Pm-3m (No. 221)
One atom of each set of equivalent atoms:
Mg 0.0000 0.0000 0.0000 [1 per cell]
Cu 0.0000 0.5000 0.5000 [3 per cell]
As 0.5000 0.5000 0.5000 [1 per cell]

Peak list (6 most intense, 10° ≤ 2θ ≤ 90°, low angle first)
Position (°2θ), I/Imax, index
19.54, 94, 1 0 0
34.18, 51, 1 1 1
39.68, 100, 2 0 0
44.59, 43, 2 1 0
57.36, 64, 2 2 0
72.00, 21, 2 2 2